Structure and calculated X-ray diffraction stick pattern of MnVO3 (a crystal structure in the Materials Project, relaxed with PBE+U; Cu Kα X-rays).
Intensities are scaled so that the largest is 100.

Top 12 peaks for 15 to 90 degrees two-theta, by angle:
hkl	2θ/deg	I/Imax
1 1 1	26.7	6
1 2 -1	33.7	100
2 0 0	34.6	18
0 4 0	47.9	14
2 0 -2	49.0	11
2 0 2	49.1	11
0 4 2	59.8	10
2 4 0	60.3	15
3 2 -1	61.3	11
3 2 1	61.5	11
2 4 -2	70.9	6
1 6 -1	80.0	6

Atomic structure:
```
data_MnVO3
_chemical_formula_sum 'Mn4 V4 O12'
_space_group_name_H-M_alt 'P 1 21/m 1'
_space_group_IT_number 11
_space_group_name_Hall '-P 2yb'
_cell_length_a 5.191
_cell_length_b 7.602
_cell_length_c 5.315
_cell_angle_alpha 90.00
_cell_angle_beta 90.19
_cell_angle_gamma 90.00
loop_
_atom_site_label
_atom_site_type_symbol
_atom_site_fract_x
_atom_site_fract_y
_atom_site_fract_z
_atom_site_occupancy
Mn1 Mn 0.007 0.250 0.448 1
Mn2 Mn 0.489 0.250 0.949 1
V1 V 0.000 0.000 0.000 1
V2 V 0.500 0.000 0.500 1
O1 O 0.114 0.750 0.951 1
O2 O 0.184 0.060 0.705 1
O3 O 0.317 0.059 0.204 1
O4 O 0.387 0.750 0.452 1
```



Structure and calculated X-ray diffraction stick pattern of Mn2VO4 (a crystal structure in the Materials Project, relaxed with PBE+U; Cu Kα X-rays).
Intensities are scaled so that the largest is 100.

Top 12 peaks for 15 to 90 degrees two-theta, by angle:
hkl	2θ/deg	I/Imax
1 0 1	17.7	13
1 0 4	28.9	19
1 1 0	29.1	16
0 1 5	34.0	31
0 2 1	34.2	100
0 2 4	41.4	31
0 2 7	54.6	9
1 2 5	54.7	18
0 3 3	54.8	15
2 0 8	59.9	31
2 2 0	60.3	31
4 1 3	85.9	10

Atomic structure:
```
data_Mn2VO4
_chemical_formula_sum 'Mn12 V6 O24'
_space_group_name_H-M_alt 'R 3 m'
_space_group_IT_number 160
_space_group_name_Hall 'R 3 -2"'
_cell_length_a 6.1439
_cell_length_b 6.1439
_cell_length_c 15.1862
_cell_angle_alpha 90.00
_cell_angle_beta 90.00
_cell_angle_gamma 120.00
loop_
_atom_site_label
_atom_site_type_symbol
_atom_site_fract_x
_atom_site_fract_y
_atom_site_fract_z
_atom_site_occupancy
Mn1 Mn 0.0000 0.0000 0.0000 1
Mn2 Mn 0.1678 0.3356 0.4638 1
V1 V 0.0000 0.0000 0.2607 1
V2 V 0.0000 0.0000 0.6336 1
O1 O 0.0000 0.0000 0.3881 1
O2 O 0.0000 0.0000 0.8669 1
O3 O 0.0352 0.5176 0.3735 1
O4 O 0.1743 0.3485 0.2192 1
```



Structure and calculated X-ray diffraction stick pattern of Mn3V2O8 (a crystal structure in the Materials Project, relaxed with PBE+U; Cu Kα X-rays).
Intensities are scaled so that the largest is 100.

Top 12 peaks for 15 to 90 degrees two-theta, by angle:
hkl	2θ/deg	I/Imax
0 2 2	25.5	19
1 1 2	26.1	36
1 3 1	28.5	53
0 4 0	30.0	21
2 2 1	33.7	100
0 2 3	34.7	45
1 1 3	35.1	24
2 4 0	41.6	25
1 5 1	41.8	23
2 6 1	55.6	15
4 0 0	58.3	17
2 4 4	60.5	57

Atomic structure:
```
data_Mn3V2O8
_chemical_formula_sum 'Mn12 V8 O32'
_space_group_name_H-M_alt 'C m c e'
_space_group_IT_number 64
_space_group_name_Hall '-C 2ac 2'
_cell_length_a 6.329
_cell_length_b 11.929
_cell_length_c 8.620
_cell_angle_alpha 90.00
_cell_angle_beta 90.00
_cell_angle_gamma 90.00
loop_
_atom_site_label
_atom_site_type_symbol
_atom_site_fract_x
_atom_site_fract_y
_atom_site_fract_z
_atom_site_occupancy
Mn1 Mn 0.000 0.000 0.000 1
Mn2 Mn 0.250 0.138 0.250 1
V1 V 0.000 0.119 0.618 1
O1 O 0.000 0.001 0.751 1
O2 O 0.000 0.246 0.722 1
O3 O 0.224 0.117 0.501 1
```



Structure and calculated X-ray diffraction stick pattern of MnV2O6 (a crystal structure in the Materials Project, relaxed with PBE+U; Cu Kα X-rays).
Intensities are scaled so that the largest is 100.

Top 12 peaks for 15 to 90 degrees two-theta, by angle:
hkl	2θ/deg	I/Imax
2 0 0	17.8	41
2 0 -1	20.0	97
2 0 1	23.7	74
1 1 0	26.3	25
2 0 -2	28.6	69
1 1 1	30.0	100
4 0 0	36.1	25
3 1 -1	37.4	25
1 1 -3	46.0	22
3 1 2	48.2	23
0 2 0	50.7	29
1 1 4	61.2	33

Atomic structure:
```
data_MnV2O6
_chemical_formula_sum 'Mn2 V4 O12'
_space_group_name_H-M_alt 'C 1 2/m 1'
_space_group_IT_number 12
_space_group_name_Hall '-C 2y'
_cell_length_a 10.117
_cell_length_b 3.600
_cell_length_c 7.093
_cell_angle_alpha 90.00
_cell_angle_beta 100.11
_cell_angle_gamma 90.00
loop_
_atom_site_label
_atom_site_type_symbol
_atom_site_fract_x
_atom_site_fract_y
_atom_site_fract_z
_atom_site_occupancy
Mn1 Mn 0.000 0.000 0.000 1
V1 V 0.249 0.000 0.684 1
O1 O 0.106 0.000 0.770 1
O2 O 0.118 0.500 0.127 1
O3 O 0.233 0.000 0.393 1
```



Structure and calculated X-ray diffraction stick pattern of MnV4O12 (a crystal structure in the Materials Project, relaxed with PBE+U; Cu Kα X-rays).
Intensities are scaled so that the largest is 100.

Top 12 peaks for 15 to 90 degrees two-theta, by angle:
hkl	2θ/deg	I/Imax
0 0 1	15.7	21
1 1 -1	18.3	63
2 0 0	19.0	53
0 2 0	20.2	63
1 1 1	23.3	22
0 2 1	25.7	65
2 2 -1	28.6	100
3 1 -1	29.4	23
3 1 0	30.5	60
0 0 2	31.7	51
2 2 1	35.3	24
2 4 -1	46.1	25

Atomic structure:
```
data_MnV4O12
_chemical_formula_sum 'Mn2 V8 O24'
_space_group_name_H-M_alt 'C 1 2 1'
_space_group_IT_number 5
_space_group_name_Hall 'C 2y'
_cell_length_a 9.954
_cell_length_b 8.786
_cell_length_c 6.019
_cell_angle_alpha 90.00
_cell_angle_beta 110.17
_cell_angle_gamma 90.00
loop_
_atom_site_label
_atom_site_type_symbol
_atom_site_fract_x
_atom_site_fract_y
_atom_site_fract_z
_atom_site_occupancy
Mn1 Mn 0.000 0.000 0.000 1
V1 V 0.199 0.668 0.985 1
V2 V 0.214 0.491 0.509 1
O1 O 0.104 0.002 0.329 1
O2 O 0.120 0.164 0.953 1
O3 O 0.128 0.577 0.705 1
O4 O 0.133 0.852 0.959 1
O5 O 0.156 0.567 0.204 1
O6 O 0.171 0.313 0.485 1
```



Structure and calculated X-ray diffraction stick pattern of MnV3O8 (a crystal structure in the Materials Project, relaxed with PBE+U; Cu Kα X-rays).
Intensities are scaled so that the largest is 100.

Top 12 peaks for 15 to 90 degrees two-theta, by angle:
hkl	2θ/deg	I/Imax
2 0 0	15.4	42
1 1 0	24.6	100
0 0 2	28.1	64
4 0 -1	30.2	38
3 1 0	33.1	17
3 1 -1	33.3	28
0 0 3	42.7	33
6 0 -1	45.2	33
0 2 0	47.8	43
4 0 -4	57.6	18
7 1 -1	59.0	21
3 1 -4	61.4	17

Atomic structure:
```
data_MnV3O8
_chemical_formula_sum 'Mn2 V6 O16'
_space_group_name_H-M_alt 'C 1 m 1'
_space_group_IT_number 8
_space_group_name_Hall 'C -2y'
_cell_length_a 12.032
_cell_length_b 3.808
_cell_length_c 6.637
_cell_angle_alpha 90.00
_cell_angle_beta 106.70
_cell_angle_gamma 90.00
loop_
_atom_site_label
_atom_site_type_symbol
_atom_site_fract_x
_atom_site_fract_y
_atom_site_fract_z
_atom_site_occupancy
Mn1 Mn 0.000 0.000 0.000 1
V1 V 0.106 0.000 0.588 1
V2 V 0.305 0.000 0.011 1
V3 V 0.408 0.000 0.585 1
O1 O 0.075 0.500 0.618 1
O2 O 0.078 0.000 0.330 1
O3 O 0.154 0.000 0.952 1
O4 O 0.262 0.000 0.677 1
O5 O 0.343 0.500 0.016 1
O6 O 0.348 0.000 0.319 1
O7 O 0.449 0.500 0.644 1
O8 O 0.465 0.000 0.951 1
```